For KMo12S14, the GGA-PBE geometry in OQMD gives the computed powder diffractogram in this record (CuKα).
Kinematic intensities with the Lorentz-polarization factor, no thermal factor.

Principal peaks in the range 2θ from 10° to 90°, by angle:
| Position (°2θ) | I/Imax | (hkl) |
| --- | --- | --- |
| 11.13 | 100 | 1 0 0 |
| 12.36 | 93 | 1 0 1 |
| 30.25 | 17 | 3 -1 1 |
| 34.02 | 26 | 3 -1 3 |
| 37.04 | 10 | 2 1 4 |
| 39.27 | 9 | 2 2 0 |
| 39.93 | 20 | 1 0 7 |
| 43.94 | 9 | 0 0 8 |
| 44.28 | 17 | 4 -1 3 |
| 45.24 | 43 | 2 2 4 |

Cell and atoms:
```
data_KMo12S14
_chemical_formula_sum 'K2 Mo24 S28'
_cell_length_a 9.1759
_cell_length_b 9.1759
_cell_length_c 16.4853
_cell_angle_alpha 90.00
_cell_angle_beta 90.00
_cell_angle_gamma 120.00
_space_group_name_H-M_alt 'P -3 1 c'
_space_group_IT_number 163
_space_group_name_Hall '-P 3 2c'
loop_
_atom_site_label
_atom_site_type_symbol
_atom_site_fract_x
_atom_site_fract_y
_atom_site_fract_z
_atom_site_occupancy
K1 K 0.3333 0.6667 0.2500 1
Mo1 Mo 0.1566 0.5037 0.5422 1
Mo2 Mo 0.1638 0.4951 0.8158 1
S1 S 0.0196 0.3585 0.6816 1
S2 S 0.0408 0.3483 0.9422 1
S3 S 0.3333 0.6667 0.0678 1
```



For Ac8HgGe5, the GGA-PBE geometry in OQMD gives the computed powder diffractogram in this record (CuKα).
Kinematic intensities with the Lorentz-polarization factor, no thermal factor.

Principal peaks in the range 2θ from 10° to 90°, by angle:
| Position (°2θ) | I/Imax | (hkl) |
| --- | --- | --- |
| 22.22 | 27 | 1 2 1 |
| 25.70 | 30 | 2 0 2 |
| 28.72 | 54 | 1 0 3 |
| 28.84 | 100 | 1 3 0 |
| 34.23 | 99 | 3 2 1 |
| 45.36 | 20 | 4 2 2 |
| 47.20 | 20 | 3 1 4 |
| 47.32 | 41 | 1 4 3 |
| 58.06 | 25 | 1 6 1 |
| 61.23 | 17 | 4 1 5 |

Cell and atoms:
```
data_Ac8HgGe5
_chemical_formula_sum 'Ac16 Hg2 Ge10'
_cell_length_a 9.788
_cell_length_b 9.788
_cell_length_c 9.834
_cell_angle_alpha 90.00
_cell_angle_beta 90.00
_cell_angle_gamma 90.00
_space_group_name_H-M_alt 'I -4'
_space_group_IT_number 82
_space_group_name_Hall 'I -4'
loop_
_atom_site_label
_atom_site_type_symbol
_atom_site_fract_x
_atom_site_fract_y
_atom_site_fract_z
_atom_site_occupancy
Ac1 Ac 0.068 0.324 0.060 1
Ac2 Ac 0.069 0.188 0.686 1
Hg1 Hg 0.000 0.000 0.000 1
Ge1 Ge 0.000 0.500 0.750 1
Ge2 Ge 0.126 0.250 0.373 1
```



For NdHoAg2Ge2, the GGA-PBE geometry in OQMD gives the computed powder diffractogram in this record (CuKα).
Kinematic intensities with the Lorentz-polarization factor, no thermal factor.

Principal peaks in the range 2θ from 10° to 90°, by angle:
| Position (°2θ) | I/Imax | (hkl) |
| --- | --- | --- |
| 22.66 | 8 | 1 0 0 |
| 25.67 | 8 | 0 1 1 |
| 33.18 | 100 | 1 0 2 |
| 39.79 | 63 | 1 1 0 |
| 43.13 | 9 | 0 1 3 |
| 48.94 | 7 | 0 0 4 |
| 52.75 | 27 | 0 2 2 |
| 64.84 | 17 | 1 1 4 |
| 68.06 | 24 | 2 1 2 |
| 72.24 | 10 | 3 0 0 |

Cell and atoms:
```
data_NdHoAg2Ge2
_chemical_formula_sum 'Nd1 Ho1 Ag2 Ge2'
_cell_length_a 4.5305
_cell_length_b 4.5305
_cell_length_c 7.4446
_cell_angle_alpha 90.00
_cell_angle_beta 90.00
_cell_angle_gamma 120.00
_space_group_name_H-M_alt 'P 3 m 1'
_space_group_IT_number 156
_space_group_name_Hall 'P 3 -2"'
loop_
_atom_site_label
_atom_site_type_symbol
_atom_site_fract_x
_atom_site_fract_y
_atom_site_fract_z
_atom_site_occupancy
Nd1 Nd 0.0000 0.0000 0.0000 1
Ho1 Ho 0.0000 0.0000 0.5018 1
Ag1 Ag 0.3333 0.6667 0.2378 1
Ag2 Ag 0.6667 0.3333 0.7043 1
Ge1 Ge 0.3333 0.6667 0.7860 1
Ge2 Ge 0.6667 0.3333 0.3009 1
```



For Na2Zn3H4Se4O14, the GGA-PBE geometry in OQMD gives the computed powder diffractogram in this record (CuKα).
Kinematic intensities with the Lorentz-polarization factor, no thermal factor.

Principal peaks in the range 2θ from 10° to 90°, by angle:
| Position (°2θ) | I/Imax | (hkl) |
| --- | --- | --- |
| 12.04 | 100 | 2 0 0 |
| 12.72 | 30 | 0 0 2 |
| 18.38 | 37 | 1 1 -2 |
| 24.97 | 27 | 3 1 1 |
| 28.09 | 47 | 1 1 -4 |
| 29.80 | 45 | 2 2 -1 |
| 33.18 | 51 | 3 1 3 |
| 33.84 | 37 | 5 1 -3 |
| 34.88 | 35 | 3 1 -5 |
| 36.05 | 25 | 4 2 -1 |

Cell and atoms:
```
data_Na2Zn3H4Se4O14
_chemical_formula_sum 'Na8 Zn12 H16 Se16 O56'
_cell_length_a 15.378
_cell_length_b 6.544
_cell_length_c 14.554
_cell_angle_alpha 90.00
_cell_angle_beta 107.02
_cell_angle_gamma 90.00
_space_group_name_H-M_alt 'C 1 2/c 1'
_space_group_IT_number 15
_space_group_name_Hall '-C 2yc'
loop_
_atom_site_label
_atom_site_type_symbol
_atom_site_fract_x
_atom_site_fract_y
_atom_site_fract_z
_atom_site_occupancy
Na1 Na 0.105 0.145 0.487 1
Zn1 Zn 0.000 0.162 0.250 1
Zn2 Zn 0.012 0.340 0.879 1
H1 H 0.208 0.491 0.883 1
H2 H 0.226 0.276 0.382 1
Se1 Se 0.112 0.317 0.110 1
Se2 Se 0.155 0.123 0.775 1
O1 O 0.012 0.360 0.148 1
O2 O 0.059 0.087 0.678 1
O3 O 0.062 0.195 0.003 1
O4 O 0.122 0.330 0.830 1
O5 O 0.123 0.438 0.581 1
O6 O 0.134 0.089 0.336 1
O7 O 0.243 0.094 0.596 1
```



Please write out number 3 again, unchanged.
For NdHoAg2Ge2, the GGA-PBE geometry in OQMD gives the computed powder diffractogram in this record (CuKα).
Kinematic intensities with the Lorentz-polarization factor, no thermal factor.

Principal peaks in the range 2θ from 10° to 90°, by angle:
| Position (°2θ) | I/Imax | (hkl) |
| --- | --- | --- |
| 22.66 | 8 | 1 0 0 |
| 25.67 | 8 | 0 1 1 |
| 33.18 | 100 | 1 0 2 |
| 39.79 | 63 | 1 1 0 |
| 43.13 | 9 | 0 1 3 |
| 48.94 | 7 | 0 0 4 |
| 52.75 | 27 | 0 2 2 |
| 64.84 | 17 | 1 1 4 |
| 68.06 | 24 | 2 1 2 |
| 72.24 | 10 | 3 0 0 |

Cell and atoms:
```
data_NdHoAg2Ge2
_chemical_formula_sum 'Nd1 Ho1 Ag2 Ge2'
_cell_length_a 4.5305
_cell_length_b 4.5305
_cell_length_c 7.4446
_cell_angle_alpha 90.00
_cell_angle_beta 90.00
_cell_angle_gamma 120.00
_space_group_name_H-M_alt 'P 3 m 1'
_space_group_IT_number 156
_space_group_name_Hall 'P 3 -2"'
loop_
_atom_site_label
_atom_site_type_symbol
_atom_site_fract_x
_atom_site_fract_y
_atom_site_fract_z
_atom_site_occupancy
Nd1 Nd 0.0000 0.0000 0.0000 1
Ho1 Ho 0.0000 0.0000 0.5018 1
Ag1 Ag 0.3333 0.6667 0.2378 1
Ag2 Ag 0.6667 0.3333 0.7043 1
Ge1 Ge 0.3333 0.6667 0.7860 1
Ge2 Ge 0.6667 0.3333 0.3009 1
```